1.
LiSbH3: computed XRD peak list (a wavelength of 1.5418 Å), based on a structure optimized by DFT (PBE).
Kinematic intensities with the Lorentz-polarization factor, no thermal factor.

Peak list (10 most intense, 2θ = 10–90°, low angle first)
4.903 Å, 2θ = 18.09°, rel. 100
4.676 Å, 2θ = 18.98°, rel. 80
3.384 Å, 2θ = 26.34°, rel. 78
3.269 Å, 2θ = 27.28°, rel. 33
2.720 Å, 2θ = 32.93°, rel. 43
2.696 Å, 2θ = 33.23°, rel. 26
2.662 Å, 2θ = 33.66°, rel. 25
2.363 Å, 2θ = 38.09°, rel. 31
2.339 Å, 2θ = 38.49°, rel. 47
2.111 Å, 2θ = 42.85°, rel. 23

Atomic structure:
```
data_LiSbH3
_cell_length_a 3.269
_cell_length_b 4.903
_cell_length_c 4.677
_cell_angle_alpha 90.00
_cell_angle_beta 90.77
_cell_angle_gamma 90.00
_symmetry_space_group_name_H-M 'P 1'
_symmetry_Int_Tables_number 1
_symmetry_space_group_name_Hall 'P 1'
loop_
_atom_site_label
_atom_site_type_symbol
_atom_site_fract_x
_atom_site_fract_y
_atom_site_fract_z
Li1 Li 0.000 0.000 0.000
Sb1 Sb 0.500 0.921 0.500
H1 H 0.056 0.408 0.072
H2 H 0.500 0.566 0.500
H3 H 0.944 0.408 0.928
```


2.
RbMgGeCl5: computed XRD peak list (a wavelength of 1.5418 Å), based on a structure optimized by DFT (PBE).
Kinematic intensities with the Lorentz-polarization factor, no thermal factor.

Peak list (10 most intense, 2θ = 10–90°, low angle first)
4.722 Å, 2θ = 18.79°, rel. 100
4.323 Å, 2θ = 20.54°, rel. 78
4.199 Å, 2θ = 21.16°, rel. 85
3.370 Å, 2θ = 26.45°, rel. 42
3.008 Å, 2θ = 29.70°, rel. 64
2.975 Å, 2θ = 30.03°, rel. 68
2.803 Å, 2θ = 31.93°, rel. 49
2.612 Å, 2θ = 34.33°, rel. 84
2.162 Å, 2θ = 41.78°, rel. 49
2.137 Å, 2θ = 42.30°, rel. 40

Atomic structure:
```
data_RbMgGeCl5
_cell_length_a 7.327
_cell_length_b 7.327
_cell_length_c 10.165
_cell_angle_alpha 106.93
_cell_angle_beta 106.93
_cell_angle_gamma 97.71
_symmetry_space_group_name_H-M 'P 1'
_symmetry_Int_Tables_number 1
_symmetry_space_group_name_Hall 'P 1'
loop_
_atom_site_label
_atom_site_type_symbol
_atom_site_fract_x
_atom_site_fract_y
_atom_site_fract_z
Rb1 Rb 0.084 0.916 0.750
Rb2 Rb 0.916 0.084 0.250
Mg1 Mg 0.000 0.500 0.000
Mg2 Mg 0.500 0.000 0.500
Ge1 Ge 0.493 0.507 0.750
Ge2 Ge 0.507 0.493 0.250
Cl1 Cl 0.162 0.253 0.066
Cl2 Cl 0.232 0.768 0.250
Cl3 Cl 0.253 0.162 0.566
Cl4 Cl 0.278 0.600 0.896
Cl5 Cl 0.400 0.722 0.604
Cl6 Cl 0.600 0.278 0.396
Cl7 Cl 0.722 0.400 0.104
Cl8 Cl 0.747 0.838 0.434
Cl9 Cl 0.768 0.232 0.750
Cl10 Cl 0.838 0.747 0.934
```


3.
LiGa6Ag6: computed XRD peak list (a wavelength of 1.5418 Å), based on a structure optimized by DFT (PBE).
Kinematic intensities with the Lorentz-polarization factor, no thermal factor.

Peak list (10 most intense, 2θ = 10–90°, low angle first)
4.846 Å, 2θ = 18.31°, rel. 30
4.483 Å, 2θ = 19.81°, rel. 28
2.423 Å, 2θ = 37.10°, rel. 47
2.374 Å, 2θ = 37.91°, rel. 47
2.241 Å, 2θ = 40.24°, rel. 19
2.132 Å, 2θ = 42.40°, rel. 100
2.034 Å, 2θ = 44.54°, rel. 30
1.418 Å, 2θ = 65.85°, rel. 18
1.399 Å, 2θ = 66.88°, rel. 21
1.187 Å, 2θ = 81.02°, rel. 14

Atomic structure:
```
data_LiGa6Ag6
_cell_length_a 5.596
_cell_length_b 5.596
_cell_length_c 8.965
_cell_angle_alpha 90.00
_cell_angle_beta 90.00
_cell_angle_gamma 120.00
_symmetry_space_group_name_H-M 'P 1'
_symmetry_Int_Tables_number 1
_symmetry_space_group_name_Hall 'P 1'
loop_
_atom_site_label
_atom_site_type_symbol
_atom_site_fract_x
_atom_site_fract_y
_atom_site_fract_z
Li1 Li 0.000 0.000 0.000
Ga1 Ga 0.000 0.000 0.358
Ga2 Ga 0.000 0.000 0.642
Ga3 Ga 0.333 0.667 0.000
Ga4 Ga 0.333 0.667 0.500
Ga5 Ga 0.667 0.333 0.000
Ga6 Ga 0.667 0.333 0.500
Ag1 Ag 0.000 0.500 0.246
Ag2 Ag 0.000 0.500 0.754
Ag3 Ag 0.500 0.000 0.246
Ag4 Ag 0.500 0.000 0.754
Ag5 Ag 0.500 0.500 0.246
Ag6 Ag 0.500 0.500 0.754
```


4.
TbErTh: computed XRD peak list (a wavelength of 1.5418 Å), based on a structure optimized by DFT (PBE).
Kinematic intensities with the Lorentz-polarization factor, no thermal factor.

Peak list (10 most intense, 2θ = 10–90°, low angle first)
3.072 Å, 2θ = 29.06°, rel. 65
2.972 Å, 2θ = 30.07°, rel. 100
2.862 Å, 2θ = 31.25°, rel. 70
2.521 Å, 2θ = 35.62°, rel. 72
2.332 Å, 2θ = 38.61°, rel. 68
1.982 Å, 2θ = 45.77°, rel. 18
1.738 Å, 2θ = 52.65°, rel. 41
1.572 Å, 2θ = 58.73°, rel. 22
1.513 Å, 2θ = 61.27°, rel. 49
1.464 Å, 2θ = 63.53°, rel. 17

Atomic structure:
```
data_TbErTh
_cell_length_a 3.477
_cell_length_b 3.477
_cell_length_c 18.434
_cell_angle_alpha 90.00
_cell_angle_beta 90.00
_cell_angle_gamma 120.00
_symmetry_space_group_name_H-M 'P 1'
_symmetry_Int_Tables_number 1
_symmetry_space_group_name_Hall 'P 1'
loop_
_atom_site_label
_atom_site_type_symbol
_atom_site_fract_x
_atom_site_fract_y
_atom_site_fract_z
Tb1 Tb 0.333 0.667 0.000
Tb2 Tb 0.667 0.333 0.500
Er1 Er 0.000 0.000 0.155
Er2 Er 0.000 0.000 0.655
Th1 Th 0.333 0.667 0.816
Th2 Th 0.667 0.333 0.316
```